This entry pairs a crystal structure of TbGa6Pt3 with its calculated powder XRD pattern. Radiation: Cu Kα, 1.54184 Å. Structure: a DFT-relaxed cell (PBE, Alexandria).
No peak broadening, texture or thermal motion is included.

Atomic structure:
Cell: 8.563 4.335 9.622 Å, 90.00 96.98 90.00°
Positions (direct):
Tb: 0.072 0.250 0.262
Tb: 0.928 0.750 0.738
Ga: 0.107 0.250 0.600
Ga: 0.128 0.750 0.031
Ga: 0.289 0.750 0.767
Ga: 0.317 0.750 0.265
Ga: 0.412 0.250 0.448
Ga: 0.450 0.250 0.905
Ga: 0.550 0.750 0.095
Ga: 0.588 0.750 0.552
Ga: 0.683 0.250 0.735
Ga: 0.711 0.250 0.233
Ga: 0.872 0.250 0.969
Ga: 0.893 0.750 0.400
Pt: 0.154 0.250 0.884
Pt: 0.212 0.750 0.500
Pt: 0.410 0.250 0.163
Pt: 0.590 0.750 0.837
Pt: 0.788 0.250 0.500
Pt: 0.846 0.750 0.116

Top 10 peaks for 2θ from 5° to 70°, in order of rising 2θ:
- 2θ 23.93, intensity 33
- 2θ 24.38, intensity 56
- 2θ 28.03, intensity 36
- 2θ 30.57, intensity 25
- 2θ 33.59, intensity 30
- 2θ 34.97, intensity 37
- 2θ 37.94, intensity 100
- 2θ 41.67, intensity 91
- 2θ 43.45, intensity 79
- 2θ 45.31, intensity 54